Starting from a cell relaxed with PBE, the X-ray powder pattern of Dy3Al5Ni was calculated for Cu Ka.
Neutral-atom scattering factors, no anomalous dispersion.

Structure:
```
data_Dy3Al5Ni
_chemical_formula_sum 'Dy3 Al5 Ni1'
_cell_length_a 6.9597
_cell_length_b 6.9597
_cell_length_c 4.3142
_cell_angle_alpha 90.00
_cell_angle_beta 90.00
_cell_angle_gamma 120.00
_space_group_name_H-M_alt 'P -6 2 m'
_space_group_IT_number 189
_space_group_name_Hall 'P -6 -2'
loop_
_atom_site_label
_atom_site_type_symbol
_atom_site_fract_x
_atom_site_fract_y
_atom_site_fract_z
Dy1 Dy 0.0000 0.4034 0.0000
Al1 Al 0.0000 0.7700 0.5000
Al2 Al 0.3333 0.6667 0.5000
Ni1 Ni 0.0000 0.0000 0.0000
```

Most intense lines, 5 to 70 degrees two-theta, low angle first:
| 2θ (°) | intensity | h k l |
| --- | --- | --- |
| 20.59 | 51 | 0 0 1 |
| 25.60 | 51 | 1 1 0 |
| 29.64 | 31 | 2 0 0 |
| 33.07 | 100 | 1 1 1 |
| 36.36 | 67 | 2 0 1 |
| 39.56 | 26 | 2 1 0 |
| 41.88 | 23 | 0 0 2 |
| 49.73 | 17 | 1 1 2 |
| 54.92 | 19 | 3 1 0 |
| 59.28 | 33 | 3 1 1 |